The following is a computed powder X-ray diffraction pattern of Nb12O29. It was derived from a structure optimized by DFT (PBE), using Cu Kα, 1.54184 Å.

Atomic structure:
```
Nb12O29
1.0
10.5804 -1.9318 0.0000
10.5804 1.9318 0.0000
-6.2970 0.0000 14.7448
Nb O
12 29
Cartesian
-0.0033 0.0000 1.9239
-2.3780 0.0000 8.8725
-0.0157 0.0000 5.9480
-2.4287 0.0000 12.8411
3.8777 0.0000 1.9473
3.8518 0.0000 5.8940
11.0120 0.0000 8.8507
10.9861 0.0000 12.7975
17.2925 0.0000 1.9037
14.8795 0.0000 8.7967
17.2418 0.0000 5.8723
14.8671 0.0000 12.8209
0.0000 0.0000 0.0000
-2.1032 0.0000 6.4532
-4.2689 0.0000 12.7868
-0.1409 0.0000 4.1713
-2.4714 0.0000 10.6724
2.0360 0.0000 2.0324
-0.0985 0.0000 8.4529
3.9827 0.0000 0.0169
2.0006 0.0000 6.1292
-0.1379 0.0000 12.6682
3.9541 0.0000 4.0843
6.1800 0.0000 2.0524
4.2486 0.0000 8.2052
6.1363 0.0000 6.0803
4.2646 0.0000 12.5495
10.5992 0.0000 2.1953
8.7275 0.0000 8.6645
10.6152 0.0000 6.5396
8.6838 0.0000 12.6924
10.9097 0.0000 10.6605
15.0017 0.0000 2.0766
12.8632 0.0000 8.6156
10.8811 0.0000 14.7279
14.9623 0.0000 6.2919
12.8278 0.0000 12.7123
17.3352 0.0000 4.0724
15.0047 0.0000 10.5735
19.1327 0.0000 1.9579
16.9669 0.0000 8.2916
```

The 10 most intense peaks (10° ≤ 2θ ≤ 90°), sorted by position:
d [Å]	I/Imax
5.278	269
3.790	839
3.686	1000
3.522	720
3.387	236
2.840	510
2.750	294
1.932	329
1.721	268
1.711	309

The following is a computed powder X-ray diffraction pattern of Nb2O5. It was derived from a structure optimized by DFT (PBE), using Cu Kα, 1.54184 Å.

Atomic structure:
```
Nb2O5
1.0
-10.3851 10.3851 1.9286
10.3851 -10.3851 1.9286
10.3851 10.3851 -1.9286
Nb O
16 40
Cartesian
2.7263 0.0000 0.0000
8.3144 0.0000 0.0000
12.4559 0.0000 0.0000
18.0440 0.0000 0.0000
0.0000 2.7263 0.0000
5.5268 2.8048 0.0000
15.2434 2.8048 0.0000
2.8048 5.5268 0.0000
7.5803 -4.8583 1.9286
0.0000 8.3144 0.0000
0.0000 12.4559 0.0000
2.8048 15.2434 0.0000
7.5803 4.8583 1.9286
-4.8583 7.5803 1.9286
4.8583 7.5803 1.9286
0.0000 18.0440 0.0000
10.3851 1.3853 0.0000
7.2043 1.4208 0.0000
13.5660 1.4208 0.0000
4.3488 1.4398 0.0000
16.4215 1.4398 0.0000
1.4448 1.4448 0.0000
8.9403 -8.9403 1.9286
4.2713 4.2713 0.0000
6.1138 -6.1138 1.9286
1.4398 4.3488 0.0000
8.9454 -6.0363 1.9286
7.2968 4.3735 0.0000
13.4735 4.3735 0.0000
1.4208 7.2043 0.0000
8.9643 -3.1808 1.9286
4.3735 7.2968 0.0000
6.0116 -3.0883 1.9286
10.3851 7.3893 0.0000
1.3853 10.3851 0.0000
7.3893 10.3851 0.0000
2.9958 0.0000 1.9286
8.9999 0.0000 1.9286
0.0000 2.9958 1.9286
4.3735 13.4735 0.0000
6.0116 3.0883 1.9286
1.4208 13.5660 0.0000
8.9643 3.1808 1.9286
-3.0883 6.0116 1.9286
3.0883 6.0116 1.9286
1.4398 16.4215 0.0000
8.9454 6.0363 1.9286
-6.1138 6.1138 1.9286
6.1138 6.1138 1.9286
-8.9403 8.9403 1.9286
8.9403 8.9403 1.9286
-6.0363 8.9454 1.9286
6.0363 8.9454 1.9286
-3.1808 8.9643 1.9286
3.1808 8.9643 1.9286
0.0000 8.9999 1.9286
```

The 10 most intense peaks (10° ≤ 2θ ≤ 90°), sorted by position:
d [Å]	I/Imax
4.896	229
3.792	453
3.672	1000
2.827	473
2.596	185
2.098	218
1.929	183
1.743	251
1.707	214
1.612	285

The following is a computed powder X-ray diffraction pattern of Nb2O5. It was derived from a structure optimized by DFT (PBE), using Cu Kα, 1.54184 Å.

Atomic structure:
```
Nb2O5
1.0
6.7904 0.0000 0.0000
0.0000 3.8527 0.0000
-0.0549 0.0000 7.6316
Nb O
4 10
Cartesian
1.3117 0.9632 3.0869
1.7836 2.8895 5.9869
4.9519 0.9632 1.6447
5.4238 2.8895 4.5447
0.1879 0.9632 1.5930
0.9568 2.8895 3.5799
1.7073 0.9632 5.2791
2.1801 2.8895 0.0575
3.0253 0.9632 2.4706
3.7102 2.8895 5.1610
4.5554 0.9632 7.5741
5.0282 2.8895 2.3525
5.7787 0.9632 4.0517
6.5476 2.8895 6.0386
```

The 10 most intense peaks (10° ≤ 2θ ≤ 90°), sorted by position:
d [Å]	I/Imax
7.632	597
5.091	344
3.439	1000
3.395	550
3.316	343
3.069	643
2.377	297
2.174	226
1.926	263
1.742	218

The following is a computed powder X-ray diffraction pattern of Nb2O5. It was derived from a structure optimized by DFT (PBE), using Cu Kα, 1.54184 Å.

Atomic structure:
```
Nb2O5
1.0
14.5999 -1.9274 0.0000
14.5999 1.9274 0.0000
-10.3554 0.0000 14.7203
Nb O
16 40
Cartesian
-3.2366 0.0000 5.4646
0.7382 0.0000 1.4927
-7.1448 0.0000 13.2877
-3.2808 0.0000 9.3219
0.6751 0.0000 5.4619
-3.2709 0.0000 13.2774
0.6787 0.0000 9.3092
0.6658 0.0000 13.2333
18.1786 0.0000 1.4870
18.1657 0.0000 5.4111
22.1153 0.0000 1.4429
18.1693 0.0000 9.2585
22.1252 0.0000 5.3984
25.9892 0.0000 1.4327
18.1062 0.0000 13.2277
22.0810 0.0000 9.2557
-9.2981 0.0000 13.8297
-7.3682 0.0000 11.5210
-5.1857 0.0000 9.4990
-3.2481 0.0000 7.3659
-1.1407 0.0000 5.4129
0.6534 0.0000 3.2975
3.0247 0.0000 1.0952
-5.2248 0.0000 13.4358
-3.1610 0.0000 11.4779
-1.1260 0.0000 9.3795
0.8638 0.0000 7.3729
3.0059 0.0000 5.2794
7.3491 0.0000 0.9054
-1.1384 0.0000 13.4483
0.8313 0.0000 11.4188
3.0376 0.0000 9.4234
7.3136 0.0000 5.2338
11.4372 0.0000 0.8137
2.9830 0.0000 13.4144
7.3539 0.0000 9.5282
11.4906 0.0000 5.1922
15.8614 0.0000 1.3060
7.4073 0.0000 13.9067
11.5308 0.0000 9.4865
15.8069 0.0000 5.2970
18.0131 0.0000 3.3015
19.9828 0.0000 1.2721
11.4953 0.0000 13.8149
15.8386 0.0000 9.4409
17.9806 0.0000 7.3474
19.9704 0.0000 5.3408
22.0054 0.0000 3.2425
24.0692 0.0000 1.2845
15.8197 0.0000 13.6251
18.1910 0.0000 11.4228
19.9851 0.0000 9.3074
22.0925 0.0000 7.3544
24.0301 0.0000 5.2213
26.2126 0.0000 3.1993
28.1425 0.0000 0.8906
```

The 10 most intense peaks (10° ≤ 2θ ≤ 90°), sorted by position:
d [Å]	I/Imax
4.907	224
4.862	233
3.806	738
3.680	1000
3.647	857
2.818	466
2.776	284
2.086	241
1.927	329
1.736	247

The following is a computed powder X-ray diffraction pattern of Nb4O5. It was derived from a structure optimized by DFT (PBE), using Cu Kα, 1.54184 Å.

Atomic structure:
```
Nb4O5
1.0
6.7383 0.0000 0.0000
0.0000 6.7383 0.0000
0.0000 0.0000 4.8554
Nb O
8 10
Cartesian
0.3111 1.6846 0.2258
1.6846 0.3111 2.6535
1.6846 3.0580 2.6535
3.0580 1.6846 0.2258
3.6803 5.0537 4.6296
5.0537 3.6803 2.2019
5.0537 6.4272 2.2019
6.4272 5.0537 4.6296
0.2452 3.6144 1.2138
0.2452 6.4931 1.2138
1.6846 5.0537 3.6415
3.1239 3.6144 1.2138
3.1239 6.4931 1.2138
3.6144 0.2452 3.6415
3.6144 3.1239 3.6415
5.0537 1.6846 1.2138
6.4931 0.2452 3.6415
6.4931 3.1239 3.6415
```

The 10 most intense peaks (10° ≤ 2θ ≤ 90°), sorted by position:
d [Å]	I/Imax
4.765	137
2.768	1000
2.382	181
2.284	93
1.951	231
1.700	213
1.685	97
1.588	86
1.439	116
1.124	105

The following is a computed powder X-ray diffraction pattern of NbOsO5. It was derived from a structure optimized by DFT (PBE), using Cu Kα, 1.54184 Å.

Atomic structure:
```
NbOsO5
1.0
3.6988 0.0000 0.0000
0.0000 6.4816 0.0000
0.0000 0.0000 7.7127
Nb Os O
2 2 10
Cartesian
0.0000 0.0000 0.0000
1.8494 3.2408 3.8564
0.0000 0.0000 3.8564
1.8494 3.2408 0.0000
0.0000 0.0000 2.0410
0.0000 0.0000 5.6718
0.0000 2.0723 0.0000
0.0000 3.2408 3.8564
0.0000 4.4093 0.0000
1.8494 0.0000 0.0000
1.8494 1.1685 3.8564
1.8494 3.2408 1.8154
1.8494 3.2408 5.8973
1.8494 5.3131 3.8564
```

The 10 most intense peaks (10° ≤ 2θ ≤ 90°), sorted by position:
d [Å]	I/Imax
4.962	272
3.856	887
3.241	616
3.213	1000
2.481	367
2.468	579
1.928	183
1.866	278
1.679	269
1.653	288

> Number 2 is which compound?

Nb2O5